# Pu3P4Ru4
Simulated XRD peak list, a wavelength of 1.5418 Å. Input: a cell relaxed with GGA-PBE.
No peak broadening, texture or thermal motion is included.

Atomic structure:
a b c (Å): 7.665 7.665 7.665
angles (deg): 150.35 124.60 64.10
Atoms (fractional coordinates):
Pu (0.000, 0.000, 0.000)
Pu (0.388, 0.888, 0.500)
Pu (0.612, 0.112, 0.500)
P (0.221, 0.221, 0.000)
P (0.279, 0.500, 0.779)
P (0.721, 0.500, 0.221)
P (0.779, 0.779, 0.000)
Ru (0.018, 0.322, 0.696)
Ru (0.375, 0.678, 0.696)
Ru (0.625, 0.322, 0.304)
Ru (0.982, 0.678, 0.304)

Peak list (10 most intense, 10° ≤ 2θ ≤ 90°, low angle first)
2θ 23.7, I 252
2θ 28.6, I 200
2θ 34.7, I 1000
2θ 36.8, I 441
2θ 38.1, I 710
2θ 41.7, I 176
2θ 43.4, I 281
2θ 46.3, I 267
2θ 53.2, I 180
2θ 60.6, I 213